The following is a computed powder X-ray diffraction pattern of Pm7Ho16Th6. It was derived from the PBE geometry in Alexandria, using Cu Kα (λ = 1.5418 Å).

Most intense lines, 2θ = 10–90°, low angle first:
(4 2 2), 27.9 deg, I 31; (3 3 3), 29.6 deg, I 93; (4 4 0), 32.3 deg, I 100; (6 0 0), 34.3 deg, I 42; (6 6 0), 49.3 deg, I 26; (9 3 3), 58.5 deg, I 42

Structural model:
Cell lengths 15.6893, 15.6893, 15.6893 Å; angles 90.00, 90.00, 90.00 degrees
Space group Fm-3m (No. 225)
One atom of each set of equivalent atoms:
Pm: 0.0000 0.0000 0.0000 (multiplicity 4)
Pm: 0.0000 0.2500 0.2500 (multiplicity 24)
Ho: 0.1213 0.1213 0.1213 (multiplicity 32)
Ho: 0.1582 0.1582 0.3418 (multiplicity 32)
Th: 0.0000 0.0000 0.3308 (multiplicity 24)

=====

The following is a computed powder X-ray diffraction pattern of Ce3Mg2. It was derived from the PBE geometry in Alexandria, using Cu Kα (λ = 1.5418 Å).

Most intense lines, 2θ = 10–90°, low angle first:
(1 1 1), 18.9 deg, I 53; (0 2 1), 21.6 deg, I 96; (2 2 1), 33.1 deg, I 100; (2 0 2), 33.3 deg, I 100; (0 2 3), 38.2 deg, I 38; (0 4 2), 44.0 deg, I 37

Structural model:
Cell lengths 7.1920, 9.5445, 8.1152 Å; angles 90.00, 90.00, 90.00 degrees
Space group Cmce (No. 64)
One atom of each set of equivalent atoms:
Ce: 0.0000 0.0000 0.0000 (multiplicity 4)
Ce: 0.2500 0.1156 0.2500 (multiplicity 8)
Mg: 0.0000 0.1392 0.5959 (multiplicity 8)

=====

Question: Which formula does entry 1 have?
Answer: Pm7Ho16Th6